Structure and calculated powder diffraction line list of AgPtO2 (a cell relaxed with PBE; copper Kα).
Kinematic intensities with the Lorentz-polarization factor, no thermal factor.

Main lines, in order of falling intensity (2θ from 10° to 90°):
h k l, Position (°2θ), intensity
2 0 -2, 32.73, 100
2 0 0, 31.90, 75
0 0 2, 31.35, 73
0 1 1, 32.55, 51
1 1 -1, 32.90, 44
1 1 1, 39.59, 42
1 0 0, 15.79, 41
2 1 -3, 52.64, 31
2 1 -1, 40.46, 31
2 1 1, 51.48, 21

Structural model:
Cell: 6.337 3.139 6.446 Å, 90.00 117.70 90.00°
Space group P2/m (No. 10)
Inequivalent atoms, fractional coordinates:
Ag 0.000 0.000 0.000 (multiplicity 1)
Ag 0.000 0.000 0.500 (multiplicity 1)
Pt 0.500 0.000 0.000 (multiplicity 1)
Pt 0.500 0.500 0.500 (multiplicity 1)
O 0.266 0.000 0.368 (multiplicity 2)
O 0.415 0.500 0.772 (multiplicity 2)

Structure and calculated powder diffraction line list of RbAgO2 (a cell relaxed with PBE; copper Kα).
Kinematic intensities with the Lorentz-polarization factor, no thermal factor.

Main lines, in order of falling intensity (2θ from 10° to 90°):
h k l, Position (°2θ), intensity
1 3 0, 31.59, 100
1 1 2, 39.63, 74
0 2 0, 18.93, 65
1 1 0, 16.26, 64
2 0 0, 26.61, 57
1 1 -1, 19.51, 49
1 1 -2, 31.77, 44
3 1 -2, 44.07, 36
2 4 -2, 52.55, 24
0 2 2, 37.25, 23

Structural model:
Cell: 7.067 9.377 5.940 Å, 90.00 108.54 90.00°
Space group C2/c (No. 15)
Inequivalent atoms, fractional coordinates:
Rb 0.000 0.146 0.250 (multiplicity 4)
Ag 0.000 0.500 0.000 (multiplicity 4)
O 0.200 0.454 0.326 (multiplicity 8)

Structure and calculated powder diffraction line list of RbAgO2 (a cell relaxed with PBE; copper Kα).
Kinematic intensities with the Lorentz-polarization factor, no thermal factor.

Main lines, in order of falling intensity (2θ from 10° to 90°):
h k l, Position (°2θ), intensity
0 1 1, 26.97, 100
1 1 1, 39.82, 61
1 0 2, 41.63, 38
1 0 0, 28.73, 27
0 0 2, 29.47, 26
1 1 3, 59.38, 22
1 2 2, 63.78, 19
2 1 1, 66.50, 14
0 2 0, 46.02, 14
0 1 3, 50.77, 13

Structural model:
Cell: 3.107 3.944 6.061 Å, 90.00 90.00 90.00°
Space group Pmmm (No. 47)
Inequivalent atoms, fractional coordinates:
Rb 0.000 0.000 0.000 (multiplicity 1)
Ag 0.000 0.500 0.500 (multiplicity 1)
O 0.500 0.500 0.278 (multiplicity 2)

Structure and calculated powder diffraction line list of RbAgO3 (a cell relaxed with PBE; copper Kα).
Kinematic intensities with the Lorentz-polarization factor, no thermal factor.

Main lines, in order of falling intensity (2θ from 10° to 90°):
h k l, Position (°2θ), intensity
1 1 0, 29.69, 100
2 1 1, 52.68, 39
2 0 0, 42.48, 34
2 2 0, 61.64, 20
3 2 1, 85.34, 20
3 1 0, 69.90, 17
1 0 0, 20.87, 7
2 2 2, 77.73, 7
2 1 0, 47.79, 3
3 0 0, 65.84, 1

Structural model:
Cell: 4.256 4.256 4.256 Å, 90.00 90.00 90.00°
Space group Pm-3m (No. 221)
Inequivalent atoms, fractional coordinates:
Rb 0.000 0.000 0.000 (multiplicity 1)
Ag 0.500 0.500 0.500 (multiplicity 1)
O 0.000 0.500 0.500 (multiplicity 3)

Structure and calculated powder diffraction line list of AgRhO2 (a cell relaxed with PBE; copper Kα).
Kinematic intensities with the Lorentz-polarization factor, no thermal factor.

Main lines, in order of falling intensity (2θ from 10° to 90°):
h k l, Position (°2θ), intensity
1 0 2, 36.12, 100
1 0 1, 33.89, 63
0 0 4, 28.24, 57
1 0 6, 55.27, 37
1 1 0, 59.17, 29
1 1 4, 66.83, 28
1 0 5, 49.35, 21
1 0 3, 39.60, 16
1 1 8, 87.92, 13
2 0 2, 71.32, 13

Structural model:
Cell: 3.1232 3.1232 12.6387 Å, 90.00 90.00 120.00°
Space group P6_3/mmc (No. 194)
Inequivalent atoms, fractional coordinates:
Ag 0.3333 0.6667 0.2500 (multiplicity 2)
Rh 0.0000 0.0000 0.0000 (multiplicity 2)
O 0.3333 0.6667 0.0802 (multiplicity 4)

Structure and calculated powder diffraction line list of AgRhO2 (a cell relaxed with PBE; copper Kα).
Kinematic intensities with the Lorentz-polarization factor, no thermal factor.

Main lines, in order of falling intensity (2θ from 10° to 90°):
h k l, Position (°2θ), intensity
0 1 2, 34.53, 100
1 0 4, 38.34, 52
0 0 6, 28.18, 47
0 1 8, 51.22, 37
1 1 0, 59.26, 24
1 1 6, 66.89, 24
1 0 10, 59.49, 22
2 0 2, 70.43, 12
1 1 12, 87.88, 11
2 0 8, 82.10, 9

Structural model:
Cell: 3.1184 3.1184 18.9994 Å, 90.00 90.00 120.00°
Space group R-3m (No. 166, hexagonal axes)
Inequivalent atoms, fractional coordinates:
Ag 0.0000 0.0000 0.0000 (multiplicity 3)
Rh 0.0000 0.0000 0.5000 (multiplicity 3)
O 0.0000 0.0000 0.1130 (multiplicity 6)

Structure and calculated powder diffraction line list of AgRhS2O8 (a cell relaxed with PBE; copper Kα).
Kinematic intensities with the Lorentz-polarization factor, no thermal factor.

Main lines, in order of falling intensity (2θ from 10° to 90°):
h k l, Position (°2θ), intensity
1 1 -2, 30.90, 100
1 1 0, 20.32, 93
1 1 2, 31.96, 78
2 0 0, 22.04, 72
3 1 0, 37.66, 67
0 2 0, 34.51, 41
0 2 2, 42.31, 33
1 1 1, 23.91, 25
3 1 -2, 43.81, 25
2 0 -4, 52.52, 25

Structural model:
Cell: 8.083 5.198 7.514 Å, 90.00 93.51 90.00°
Space group C2/m (No. 12)
Inequivalent atoms, fractional coordinates:
Ag 0.000 0.000 0.000 (multiplicity 2)
Rh 0.000 0.000 0.500 (multiplicity 2)
S 0.134 0.500 0.288 (multiplicity 4)
O 0.022 0.263 0.296 (multiplicity 8)
O 0.208 0.500 0.117 (multiplicity 4)
O 0.248 0.500 0.452 (multiplicity 4)

Structure and calculated powder diffraction line list of AgRuO4 (a cell relaxed with PBE; copper Kα).
Kinematic intensities with the Lorentz-polarization factor, no thermal factor.

Main lines, in order of falling intensity (2θ from 10° to 90°):
h k l, Position (°2θ), intensity
1 1 2, 28.19, 100
2 0 4, 45.89, 29
3 1 2, 57.29, 25
2 0 0, 33.95, 19
1 1 6, 52.09, 17
0 0 4, 29.95, 15
2 2 0, 48.77, 12
1 3 6, 74.13, 12
2 2 4, 58.29, 11
2 0 8, 72.81, 7

Structural model:
Cell: 5.281 5.281 11.935 Å, 90.00 90.00 90.00°
Space group I4_1/a (No. 88, origin choice 2)
Inequivalent atoms, fractional coordinates:
Ag 0.000 0.250 0.125 (multiplicity 4)
Ru 0.000 0.250 0.625 (multiplicity 4)
O 0.149 0.011 0.706 (multiplicity 16)

Structure and calculated powder diffraction line list of AgRuO3 (a cell relaxed with PBE; copper Kα).
Kinematic intensities with the Lorentz-polarization factor, no thermal factor.

Main lines, in order of falling intensity (2θ from 10° to 90°):
h k l, Position (°2θ), intensity
2 2 2, 30.35, 100
4 4 0, 50.61, 42
6 2 2, 60.16, 40
4 0 0, 35.18, 34
6 6 2, 82.40, 16
8 4 0, 85.03, 14
4 4 4, 63.13, 11
8 0 0, 74.38, 6
3 3 1, 38.46, 1
3 3 3, 46.23, 1

Structural model:
Cell: 10.203 10.203 10.203 Å, 90.00 90.00 90.00°
Space group Fd-3m (No. 227, origin choice 2)
Inequivalent atoms, fractional coordinates:
Ag 0.000 0.000 0.000 (multiplicity 16)
Ru 0.000 0.000 0.500 (multiplicity 16)
O 0.072 0.375 0.875 (multiplicity 48)

Structure and calculated powder diffraction line list of Ag2SO4 (a cell relaxed with PBE; copper Kα).
Kinematic intensities with the Lorentz-polarization factor, no thermal factor.

Main lines, in order of falling intensity (2θ from 10° to 90°):
h k l, Position (°2θ), intensity
1 -1 1, 29.08, 100
2 1 2, 34.59, 64
0 0 2, 28.59, 55
0 1 -1, 21.07, 54
1 -2 0, 43.24, 30
-1 1 2, 46.28, 29
1 2 2, 35.61, 27
2 0 1, 35.18, 26
2 0 3, 45.94, 21
2 1 -2, 54.60, 20

Structural model:
Cell: 5.700 6.388 6.864 Å, 79.32 65.47 63.50°
Space group P1 (No. 1)
Inequivalent atoms, fractional coordinates:
Ag 0.000 0.000 0.000 (multiplicity 1)
Ag 0.156 0.697 0.512 (multiplicity 1)
Ag 0.395 0.206 0.003 (multiplicity 1)
Ag 0.741 0.506 0.509 (multiplicity 1)
S 0.443 0.107 0.507 (multiplicity 1)
S 0.699 0.596 0.015 (multiplicity 1)
O 0.297 0.254 0.374 (multiplicity 1)
O 0.314 0.946 0.638 (multiplicity 1)
O 0.414 0.750 0.142 (multiplicity 1)
O 0.463 0.253 0.643 (multiplicity 1)
O 0.692 0.440 0.869 (multiplicity 1)
O 0.749 0.952 0.367 (multiplicity 1)
O 0.834 0.757 0.866 (multiplicity 1)
O 0.866 0.447 0.142 (multiplicity 1)

Structure and calculated powder diffraction line list of Ag2SO2 (a cell relaxed with PBE; copper Kα).
Kinematic intensities with the Lorentz-polarization factor, no thermal factor.

Main lines, in order of falling intensity (2θ from 10° to 90°):
h k l, Position (°2θ), intensity
0 0 4, 19.11, 100
0 4 0, 34.82, 75
0 4 4, 40.04, 29
1 1 3, 20.02, 27
3 1 3, 37.47, 20
3 3 1, 42.98, 20
6 2 2, 73.46, 17
1 1 7, 36.70, 17
1 3 3, 31.80, 14
3 3 3, 45.25, 12

Structural model:
Cell: 8.074 10.299 18.578 Å, 90.00 90.00 90.00°
Space group Fddd (No. 70, origin choice 2)
Inequivalent atoms, fractional coordinates:
Ag 0.084 0.254 0.482 (multiplicity 32)
S 0.000 0.000 0.000 (multiplicity 16)
O 0.017 0.009 0.918 (multiplicity 32)

Structure and calculated powder diffraction line list of Ag2SO4 (a cell relaxed with PBE; copper Kα).
Kinematic intensities with the Lorentz-polarization factor, no thermal factor.

Main lines, in order of falling intensity (2θ from 10° to 90°):
h k l, Position (°2θ), intensity
1 3 1, 29.08, 100
2 0 2, 34.59, 63
0 0 4, 28.59, 53
0 2 2, 21.07, 53
1 5 1, 43.24, 30
1 3 5, 46.28, 29
1 3 3, 35.61, 26
2 2 0, 35.18, 26
2 2 4, 45.94, 20
2 0 6, 54.60, 20

Structural model:
Cell: 5.700 11.434 12.490 Å, 90.00 90.00 90.00°
Space group Fddd (No. 70, origin choice 2)
Inequivalent atoms, fractional coordinates:
Ag 0.125 0.325 0.125 (multiplicity 16)
S 0.125 0.125 0.625 (multiplicity 8)
O 0.025 0.298 0.944 (multiplicity 32)

Structure and calculated powder diffraction line list of Ag2S2O7 (a cell relaxed with PBE; copper Kα).
Kinematic intensities with the Lorentz-polarization factor, no thermal factor.

Main lines, in order of falling intensity (2θ from 10° to 90°):
h k l, Position (°2θ), intensity
0 2 0, 28.43, 100
2 -1 0, 30.00, 95
2 1 0, 28.88, 93
1 1 2, 27.66, 67
0 1 2, 25.24, 59
1 0 -2, 31.42, 34
0 1 3, 38.45, 31
2 0 2, 37.83, 31
3 2 2, 47.99, 29
1 0 -1, 19.28, 29

Structural model:
Cell: 6.947 7.022 7.085 Å, 63.53 86.67 86.26°
Space group P-1 (No. 2)
Inequivalent atoms, fractional coordinates:
Ag 0.128 0.298 0.215 (multiplicity 2)
Ag 0.357 0.719 0.418 (multiplicity 2)
S 0.140 0.217 0.724 (multiplicity 2)
S 0.359 0.801 0.876 (multiplicity 2)
O 0.018 0.849 0.359 (multiplicity 2)
O 0.084 0.333 0.845 (multiplicity 2)
O 0.237 0.749 0.745 (multiplicity 2)
O 0.239 0.999 0.910 (multiplicity 2)
O 0.290 0.317 0.558 (multiplicity 2)
O 0.370 0.641 0.095 (multiplicity 2)
O 0.456 0.113 0.227 (multiplicity 2)